Dy3Ga8Ir3: theoretical PXRD pattern (Cu Kα (λ = 1.5418 Å)), based on a crystal structure in the Materials Project, relaxed with PBE.
Kinematic intensities with the Lorentz-polarization factor, no thermal factor.

Peak list (8 most intense, 2θ from 15° to 90°, by angle)
2θ/deg, I/Imax
28.80, 16
35.55, 100
37.62, 17
43.03, 29
44.11, 17
45.73, 16
46.50, 27
63.31, 13

Cell and atoms:
```
14
Lattice="-2.1021 4.9443 6.1598 2.1021 -4.9443 6.1598 2.1021 4.9443 -6.1598" Properties=species:S:1:pos:R:3 pbc="T T T"
Dy 0.0000 0.0000 0.0000
Dy 0.0000 0.0000 4.0892
Dy 0.0000 0.0000 8.2303
Ga 2.1021 -1.2706 2.0691
Ga 2.1021 -2.1221 4.6162
Ga 2.1021 1.2706 2.0691
Ga 0.0000 2.8222 1.5436
Ga 2.1021 2.1221 4.6162
Ga 0.0000 3.6737 4.0907
Ga 0.0000 7.0664 1.5436
Ga 0.0000 6.2149 4.0907
Ir 2.1021 2.7808 0.0000
Ir 0.0000 4.9443 0.0000
Ir 0.0000 2.1636 6.1598
```